CaAsO4: theoretical XRD peak list (a wavelength of 1.5418 Å), based on DFT lattice parameters and positions (PBE).

Structural model:
Cell: 7.0151 7.0299 7.2781 Å, 76.13 81.36 85.56°
Fractional positions:
Ca 0.0678 0.1836 0.2677
Ca 0.3437 0.6876 0.3470
Ca 0.6563 0.3124 0.6530
Ca 0.9322 0.8164 0.7323
As 0.1222 0.2968 0.7112
As 0.4351 0.7897 0.8080
As 0.5649 0.2103 0.1920
As 0.8778 0.7032 0.2888
O 0.0015 0.1490 0.6141
O 0.0428 0.5141 0.2695
O 0.1649 0.1869 0.9422
O 0.2757 0.7837 0.6540
O 0.3022 0.8331 0.0152
O 0.3345 0.3706 0.5717
O 0.3912 0.0418 0.2860
O 0.4337 0.4346 0.1438
O 0.5663 0.5654 0.8562
O 0.6088 0.9582 0.7140
O 0.6655 0.6294 0.4283
O 0.6978 0.1669 0.9848
O 0.7243 0.2163 0.3460
O 0.8351 0.8131 0.0578
O 0.9572 0.4859 0.7305
O 0.9985 0.8510 0.3859

Principal peaks in the range 10° ≤ 2θ ≤ 80°, by intensity:
(hkl)  2θ/deg  I (rel.)
2 1 0  28.36  100.0
0 2 0  26.14  79.4
0 0 2  25.45  77.9
2 -1 0  29.42  72.6
2 0 2  33.84  38.3
0 1 2  25.76  36.3



CaAsO5: theoretical XRD peak list (a wavelength of 1.5418 Å), based on DFT lattice parameters and positions (PBE).

Structural model:
Cell: 6.6565 8.6279 13.9068 Å, 90.00 90.00 90.00°
Fractional positions:
Ca 0.1377 0.1882 0.0553
Ca 0.1377 0.8118 0.5553
Ca 0.3623 0.3118 0.5553
Ca 0.3623 0.6882 0.0553
Ca 0.6377 0.3118 0.9447
Ca 0.6377 0.6882 0.4447
Ca 0.8623 0.1882 0.4447
Ca 0.8623 0.8118 0.9447
As 0.1399 0.4462 0.8826
As 0.1399 0.5538 0.3826
As 0.3601 0.0538 0.3826
As 0.3601 0.9462 0.8826
As 0.6399 0.0538 0.1174
As 0.6399 0.9462 0.6174
As 0.8601 0.4462 0.6174
As 0.8601 0.5538 0.1174
O 0.0145 0.2936 0.5940
O 0.0145 0.7064 0.0940
O 0.0346 0.3793 0.3684
O 0.0346 0.6207 0.8684
O 0.1012 0.0091 0.7290
O 0.1012 0.9909 0.2290
O 0.1794 0.0582 0.4708
O 0.1794 0.9418 0.9708
O 0.2237 0.1143 0.2693
O 0.2237 0.8857 0.7693
O 0.2763 0.3857 0.7693
O 0.2763 0.6143 0.2693
O 0.3206 0.4418 0.9708
O 0.3206 0.5582 0.4708
O 0.3988 0.4909 0.2290
O 0.3988 0.5091 0.7290
O 0.4654 0.1207 0.8684
O 0.4654 0.8793 0.3684
O 0.4855 0.2064 0.0940
O 0.4855 0.7936 0.5940
O 0.5145 0.2064 0.4060
O 0.5145 0.7936 0.9060
O 0.5346 0.1207 0.6316
O 0.5346 0.8793 0.1316
O 0.6012 0.4909 0.2710
O 0.6012 0.5091 0.7710
O 0.6794 0.4418 0.5292
O 0.6794 0.5582 0.0292
O 0.7237 0.3857 0.7307
O 0.7237 0.6143 0.2307
O 0.7763 0.1143 0.2307
O 0.7763 0.8857 0.7307
O 0.8206 0.0582 0.0292
O 0.8206 0.9418 0.5292
O 0.8988 0.0091 0.7710
O 0.8988 0.9909 0.2710
O 0.9654 0.3793 0.1316
O 0.9654 0.6207 0.6316
O 0.9855 0.2936 0.9060
O 0.9855 0.7064 0.4060

Principal peaks in the range 10° ≤ 2θ ≤ 80°, by intensity:
(hkl)  2θ/deg  I (rel.)
2 1 2  31.55  100.0
1 1 4  30.81  99.5
1 2 2  27.78  81.4
1 0 2  18.45  60.7
0 2 1  21.57  51.3
1 4 1  44.64  40.3



CaAs2O8: theoretical XRD peak list (a wavelength of 1.5418 Å), based on DFT lattice parameters and positions (PBE).

Structural model:
Cell: 6.4523 7.2290 8.0527 Å, 113.01 108.26 96.94°
Fractional positions:
Ca 0.1859 0.3343 0.4164
Ca 0.8141 0.6657 0.5836
As 0.1233 0.7680 0.2950
As 0.4707 0.2487 0.0757
As 0.5293 0.7513 0.9243
As 0.8767 0.2320 0.7050
O 0.0492 0.6235 0.4015
O 0.0625 0.9930 0.3320
O 0.1625 0.6257 0.0871
O 0.2601 0.8277 0.8609
O 0.2882 0.0079 0.0437
O 0.3925 0.2767 0.8741
O 0.4677 0.9023 0.4849
O 0.4842 0.4098 0.3025
O 0.5158 0.5902 0.6975
O 0.5323 0.0977 0.5151
O 0.6075 0.7233 0.1259
O 0.7118 0.9921 0.9563
O 0.7399 0.1723 0.1391
O 0.8375 0.3743 0.9129
O 0.9375 0.0070 0.6680
O 0.9508 0.3765 0.5985

Principal peaks in the range 10° ≤ 2θ ≤ 80°, by intensity:
(hkl)  2θ/deg  I (rel.)
1 0 1  23.56  100.0
0 2 0  27.90  76.6
1 0 -2  24.50  67.3
1 -2 1  27.74  62.5
1 1 -2  24.08  52.7
1 1 -1  19.68  30.7